Diffraction record for Dy5Sb4. The X-ray diffraction stick pattern is theoretical, not measured: it uses the GGA-PBE geometry in Alexandria and λ = 1.5418 Å (Cu Kα).
Intensities are scaled so that the largest is 100.

Most intense lines, 5 to 70 degrees two-theta, by angle:
25.3°, d 3.527, I = 19; 29.1°, d 3.066, I = 50; 29.3°, d 3.049, I = 100; 41.8°, d 2.162, I = 76; 41.9°, d 2.156, I = 38; 51.8°, d 1.764, I = 40; 60.4°, d 1.533, I = 7; 60.8°, d 1.524, I = 12; 68.5°, d 1.370, I = 18; 68.8°, d 1.364, I = 34

Atomic structure:
```
Dy5Sb4
1.0
-4.821 4.821 3.066
4.821 -4.821 3.066
4.821 4.821 -3.066
Dy Sb
5 4
Cartesian
0.000 0.000 0.000
5.800 1.966 0.000
1.966 3.841 0.000
2.855 0.980 3.066
-0.980 2.855 3.066
2.894 0.932 0.000
3.889 -1.926 3.066
0.932 6.747 0.000
1.926 3.889 3.066
```